Diffraction record for Pm3Ga8Ag3. The powder XRD pattern is calculated, not measured: it uses a cell relaxed with GGA-PBE and CuKα.

Structural model:
```
data_Pm3Ga8Ag3
_cell_length_a 4.3799
_cell_length_b 9.6121
_cell_length_c 13.2553
_cell_angle_alpha 90.00
_cell_angle_beta 90.00
_cell_angle_gamma 90.00
_space_group_name_H-M_alt 'I m m m'
_space_group_IT_number 71
_space_group_name_Hall '-I 2 2'
loop_
_atom_site_label
_atom_site_type_symbol
_atom_site_fract_x
_atom_site_fract_y
_atom_site_fract_z
Pm1 Pm 0.0000 0.0000 0.0000
Pm2 Pm 0.0000 0.0000 0.3016
Ga1 Ga 0.0000 0.2807 0.1436
Ga2 Ga 0.0000 0.3680 0.3406
Ag1 Ag 0.0000 0.1987 0.5000
Ag2 Ag 0.0000 0.5000 0.0000
```

Principal peaks in the range 2θ from 10° to 90°, sorted by position:
2θ (°), I_rel
28.7, 10
32.8, 12
34.3, 100
34.6, 18
34.7, 17
35.2, 15
37.3, 33
40.8, 21
41.2, 34
59.4, 17
66.4, 13
70.7, 12